Starting from a PBE-relaxed structure, the X-ray powder pattern of Np2P2PbN6 was computed for Cu Kα.
Intensities are scaled so that the largest is 100.

Atomic structure:
```
data_Np2P2PbN6
_chemical_formula_sum 'Np4 P4 Pb2 N12'
_space_group_name_H-M_alt 'C 1 2/m 1'
_space_group_IT_number 12
_space_group_name_Hall '-C 2y'
_cell_length_a 10.9873
_cell_length_b 6.3646
_cell_length_c 6.0296
_cell_angle_alpha 90.00
_cell_angle_beta 122.96
_cell_angle_gamma 90.00
loop_
_atom_site_label
_atom_site_type_symbol
_atom_site_fract_x
_atom_site_fract_y
_atom_site_fract_z
Np1 Np 0.1806 0.0000 0.3199
P1 P 0.1976 0.0000 0.8326
Pb1 Pb 0.0000 0.5000 0.0000
N1 N 0.0565 0.0000 0.8552
N2 N 0.2127 0.2022 0.6739
```

Principal peaks in the range 2θ = 15–90°, in order of rising 2θ:
d (Å)  2θ/deg  I_rel  hkl
5.033  17.62  90  2 0 -1
3.181  28.05  100  0 2 0
2.767  32.35  60  3 1 0
2.690  33.31  40  2 2 -1
2.617  34.27  54  1 1 -2
2.517  35.68  15  4 0 -2
2.035  44.51  23  5 1 -1
1.974  45.98  21  4 2 -2
1.917  47.44  15  3 1 -3
1.836  49.64  26  2 0 2
1.706  53.73  18  1 3 -2
1.591  57.98  19  0 4 0

=====

Starting from a PBE-relaxed structure, the X-ray powder pattern of Y4GaSe3 was computed for Cu Kα.
Intensities are scaled so that the largest is 100.

Atomic structure:
```
data_Y4GaSe3
_chemical_formula_sum 'Y4 Ga1 Se3'
_space_group_name_H-M_alt 'P m -3 m'
_space_group_IT_number 221
_space_group_name_Hall '-P 4 2 3'
_cell_length_a 5.8148
_cell_length_b 5.8148
_cell_length_c 5.8148
_cell_angle_alpha 90.00
_cell_angle_beta 90.00
_cell_angle_gamma 90.00
loop_
_atom_site_label
_atom_site_type_symbol
_atom_site_fract_x
_atom_site_fract_y
_atom_site_fract_z
Y1 Y 0.0000 0.0000 0.0000
Y2 Y 0.0000 0.5000 0.5000
Ga1 Ga 0.5000 0.5000 0.5000
Se1 Se 0.0000 0.0000 0.5000
```

Principal peaks in the range 2θ = 15–90°, in order of rising 2θ:
d (Å)  2θ/deg  I_rel  hkl
3.357  26.55  1  1 1 1
2.907  30.75  100  2 0 0
2.056  44.05  73  2 2 0
1.679  54.68  25  2 2 2
1.454  64.05  12  4 0 0
1.300  72.73  32  4 2 0
1.187  81.01  24  4 2 2